The following is a calculated X-ray powder pattern of Mn3FeOs3. It was derived from a crystal structure in Alexandria, relaxed with PBE, using Cu Kα (λ = 1.5418 Å).
No peak broadening, texture or thermal motion is included.

Crystal structure
```
data_Mn3FeOs3
_cell_length_a 4.998
_cell_length_b 4.998
_cell_length_c 4.998
_cell_angle_alpha 109.11
_cell_angle_beta 109.11
_cell_angle_gamma 109.11
_space_group_name_H-M_alt 'P 1'
_space_group_IT_number 1
loop_
_space_group_symop_operation_xyz
'x,y,z'
loop_
_atom_site_label
_atom_site_fract_x
_atom_site_fract_y
_atom_site_fract_z
Mn1 0.000 0.500 0.500
Mn2 0.500 0.000 0.500
Mn3 0.500 0.500 0.000
Fe1 0.500 0.500 0.500
Os1 0.000 0.000 0.500
Os2 0.000 0.500 0.000
Os3 0.500 0.000 0.000
```

Most intense lines, 2θ from 15° to 90°, most intense first:
2θ/deg  I_rel
43.89  100.0
44.51  96.0
30.86  85.2
21.83  33.6
81.55  32.1
64.29  31.5
55.14  17.6
80.25  16.7
72.56  16.0
81.98  15.8